Record 1
Structure and simulated powder diffractogram of NdTc2Ge2 (a cell relaxed with GGA-PBE; copper Kα).
No peak broadening, texture or thermal motion is included.

Principal peaks in the range 10 to 90 degrees two-theta, by angle:
2θ/deg, d/Å, I/Imax
24.6, 3.626, 16
29.6, 3.022, 32
31.3, 2.861, 33
34.4, 2.604, 100
36.0, 2.497, 42
39.2, 2.296, 38
43.0, 2.102, 41
43.2, 2.093, 68
45.2, 2.004, 23
51.0, 1.790, 12
62.6, 1.483, 43
69.1, 1.360, 17

Structure:
```
data_NdTc2Ge2
_chemical_formula_sum 'Nd2 Tc4 Ge4'
_space_group_name_H-M_alt 'P 1'
_space_group_IT_number 1
_cell_length_a 11.2763
_cell_length_b 11.2763
_cell_length_c 11.2763
_cell_angle_alpha 158.61
_cell_angle_beta 158.52
_cell_angle_gamma 30.50
loop_
_space_group_symop_operation_xyz
'x,y,z'
loop_
_atom_site_label
_atom_site_fract_x
_atom_site_fract_y
_atom_site_fract_z
Nd1 0.4112 0.1612 0.2500
Nd2 0.5888 0.8388 0.7500
Tc1 0.2154 0.9654 0.2500
Tc2 0.2859 0.5359 0.7500
Tc3 0.7141 0.4641 0.2500
Tc4 0.7846 0.0346 0.7500
Ge1 0.0299 0.2799 0.7500
Ge2 0.1467 0.3967 0.7500
Ge3 0.8533 0.6033 0.2500
Ge4 0.9701 0.7201 0.2500
```

Record 2
Structure and simulated powder diffractogram of Tm3AgPt (a cell relaxed with GGA-PBE; copper Kα).
No peak broadening, texture or thermal motion is included.

Principal peaks in the range 10 to 90 degrees two-theta, by angle:
2θ/deg, d/Å, I/Imax
10.6, 8.362, 14
23.5, 3.786, 23
28.8, 3.096, 34
31.9, 2.806, 18
32.1, 2.787, 15
34.9, 2.571, 100
39.2, 2.298, 32
39.7, 2.269, 18
40.2, 2.245, 19
55.0, 1.670, 12
68.3, 1.374, 12
69.6, 1.351, 12

Structure:
```
data_Tm3AgPt
_chemical_formula_sum 'Tm6 Ag2 Pt2'
_space_group_name_H-M_alt 'P 1'
_space_group_IT_number 1
_cell_length_a 4.5961
_cell_length_b 6.6793
_cell_length_c 8.3616
_cell_angle_alpha 90.00
_cell_angle_beta 90.00
_cell_angle_gamma 90.00
loop_
_space_group_symop_operation_xyz
'x,y,z'
loop_
_atom_site_label
_atom_site_fract_x
_atom_site_fract_y
_atom_site_fract_z
Tm1 0.2500 0.0014 0.1611
Tm2 0.2500 0.2500 0.5502
Tm3 0.2500 0.4986 0.1611
Tm4 0.7500 0.5014 0.8389
Tm5 0.7500 0.7500 0.4498
Tm6 0.7500 0.9986 0.8389
Ag1 0.2500 0.7500 0.6767
Ag2 0.7500 0.2500 0.3233
Pt1 0.2500 0.2500 0.8856
Pt2 0.7500 0.7500 0.1144
```

Record 3
Structure and simulated powder diffractogram of Sr2In6CuAg (a cell relaxed with GGA-PBE; copper Kα).
No peak broadening, texture or thermal motion is included.

Principal peaks in the range 10 to 90 degrees two-theta, by angle:
2θ/deg, d/Å, I/Imax
18.5, 4.789, 20
28.1, 3.178, 17
28.8, 3.101, 22
29.6, 3.020, 21
31.3, 2.854, 64
33.4, 2.679, 100
33.9, 2.648, 26
39.0, 2.309, 33
44.4, 2.040, 18
50.1, 1.821, 21
51.4, 1.777, 42
63.1, 1.474, 19

Structure:
```
data_Sr2In6CuAg
_chemical_formula_sum 'Sr4 In12 Cu2 Ag2'
_space_group_name_H-M_alt 'P 1'
_space_group_IT_number 1
_cell_length_a 13.3569
_cell_length_b 13.3569
_cell_length_c 13.3569
_cell_angle_alpha 30.85
_cell_angle_beta 30.85
_cell_angle_gamma 30.85
loop_
_space_group_symop_operation_xyz
'x,y,z'
loop_
_atom_site_label
_atom_site_fract_x
_atom_site_fract_y
_atom_site_fract_z
Sr1 0.1064 0.1064 0.1064
Sr2 0.2792 0.2792 0.2792
Sr3 0.7208 0.7208 0.7208
Sr4 0.8936 0.8936 0.8936
In1 0.0853 0.6598 0.6598
In2 0.2196 0.2196 0.6570
In3 0.2196 0.6570 0.2196
In4 0.3402 0.3402 0.9147
In5 0.3402 0.9147 0.3402
In6 0.3430 0.7804 0.7804
In7 0.6570 0.2196 0.2196
In8 0.6598 0.0853 0.6598
In9 0.6598 0.6598 0.0853
In10 0.7804 0.3430 0.7804
In11 0.7804 0.7804 0.3430
In12 0.9147 0.3402 0.3402
Cu1 0.0000 0.0000 0.0000
Cu2 0.5000 0.5000 0.5000
Ag1 0.4253 0.4253 0.4253
Ag2 0.5747 0.5747 0.5747
```

Record 4
Structure and simulated powder diffractogram of Ba12Pt5Rh (a cell relaxed with GGA-PBE; copper Kα).
No peak broadening, texture or thermal motion is included.

Principal peaks in the range 10 to 90 degrees two-theta, by angle:
2θ/deg, d/Å, I/Imax
11.9, 7.412, 100
24.4, 3.653, 65
26.3, 3.389, 47
27.4, 3.250, 45
30.0, 2.977, 56
36.1, 2.489, 42
38.9, 2.313, 72
39.5, 2.284, 30
40.9, 2.208, 31
49.9, 1.826, 14
64.4, 1.447, 17
65.1, 1.433, 13

Structure:
```
data_Ba12Pt5Rh
_chemical_formula_sum 'Ba12 Pt5 Rh1'
_space_group_name_H-M_alt 'P 1'
_space_group_IT_number 1
_cell_length_a 8.0116
_cell_length_b 8.0116
_cell_length_c 15.0698
_cell_angle_alpha 95.16
_cell_angle_beta 95.16
_cell_angle_gamma 119.99
loop_
_space_group_symop_operation_xyz
'x,y,z'
loop_
_atom_site_label
_atom_site_fract_x
_atom_site_fract_y
_atom_site_fract_z
Ba1 0.0380 0.3652 0.1123
Ba2 0.1283 0.1283 0.3867
Ba3 0.2052 0.5383 0.6139
Ba4 0.2894 0.2894 0.8877
Ba5 0.3652 0.0380 0.1123
Ba6 0.4617 0.7948 0.3861
Ba7 0.5383 0.2052 0.6139
Ba8 0.6348 0.9620 0.8877
Ba9 0.7106 0.7106 0.1123
Ba10 0.7948 0.4617 0.3861
Ba11 0.8717 0.8717 0.6133
Ba12 0.9620 0.6348 0.8877
Pt1 0.1670 0.8330 0.5000
Pt2 0.3333 0.6667 0.0000
Pt3 0.5000 0.5000 0.5000
Pt4 0.6667 0.3333 0.0000
Pt5 0.8330 0.1670 0.5000
Rh1 0.0000 0.0000 0.0000
```

Record 5
Structure and simulated powder diffractogram of Er2Si3Pt3 (a cell relaxed with GGA-PBE; copper Kα).
No peak broadening, texture or thermal motion is included.

Principal peaks in the range 10 to 90 degrees two-theta, by angle:
2θ/deg, d/Å, I/Imax
13.1, 6.773, 48
21.9, 4.064, 23
31.5, 2.841, 100
34.2, 2.619, 21
35.3, 2.540, 32
38.7, 2.328, 22
45.1, 2.009, 37
48.1, 1.893, 54
58.6, 1.575, 30
74.7, 1.270, 19
76.9, 1.240, 14
85.5, 1.136, 21

Structure:
```
data_Er2Si3Pt3
_chemical_formula_sum 'Er2 Si3 Pt3'
_space_group_name_H-M_alt 'P 1'
_space_group_IT_number 1
_cell_length_a 2.8406
_cell_length_b 2.8406
_cell_length_c 20.3176
_cell_angle_alpha 90.00
_cell_angle_beta 90.00
_cell_angle_gamma 90.00
loop_
_space_group_symop_operation_xyz
'x,y,z'
loop_
_atom_site_label
_atom_site_fract_x
_atom_site_fract_y
_atom_site_fract_z
Er1 0.0000 0.0000 0.2473
Er2 0.0000 0.0000 0.7527
Si1 0.0000 0.0000 0.0000
Si2 0.0000 0.0000 0.3849
Si3 0.0000 0.0000 0.6151
Pt1 0.0000 0.0000 0.1139
Pt2 0.0000 0.0000 0.5000
Pt3 0.0000 0.0000 0.8861
```